(1)
Theoretical X-ray diffraction stick pattern
Compound: Nb10Al3Si3
Radiation: Cu Kα, 1.54184 Å
Structure: a structure optimized by DFT (PBE)
Lines closer than 0.1° are merged.

Main lines, low angle first (10 to 80 degrees two-theta):
| 2theta | d [Å] | I (rel.) |
| --- | --- | --- |
| 26.04 | 3.422 | 32 |
| 36.15 | 2.485 | 77 |
| 39.12 | 2.303 | 37 |
| 39.41 | 2.286 | 61 |
| 40.36 | 2.235 | 100 |
| 43.08 | 2.100 | 57 |

Structure:
```
Nb10Al3Si3
1.0
0.0000 7.2195 7.2394
2.5795 0.0000 7.2394
2.5795 7.2195 0.0000
Nb Al Si
10 3 3
Direct
0.1003 0.8997 0.1003
0.2494 0.4497 0.5503
0.3975 0.7509 0.2491
0.4202 0.9227 0.5798
0.4497 0.2494 0.7506
0.5916 0.9505 0.0495
0.7509 0.3975 0.6025
0.8997 0.1003 0.8997
0.9227 0.4202 0.0773
0.9505 0.5916 0.4084
0.4232 0.4232 0.0768
0.8384 0.8384 0.1616
0.9232 0.9232 0.5768
0.0103 0.3372 0.6628
0.3372 0.0103 0.9897
0.5080 0.5080 0.4920
```

=====

(2)
Theoretical X-ray diffraction stick pattern
Compound: MnFe3Si8
Radiation: Cu Kα, 1.54184 Å
Structure: a structure optimized by DFT (PBE)
Lines closer than 0.1° are merged.

Main lines, low angle first (10 to 80 degrees two-theta):
| 2theta | d [Å] | I (rel.) |
| --- | --- | --- |
| 17.23 | 5.148 | 81 |
| 37.47 | 2.400 | 77 |
| 47.38 | 1.919 | 57 |
| 48.77 | 1.867 | 100 |
| 50.78 | 1.798 | 17 |
| 69.25 | 1.357 | 17 |

Structure:
```
MnFe3Si8
1.0
2.7134 0.0000 0.0000
0.0000 2.7134 0.0000
0.0000 0.0000 20.5905
Mn Fe Si
1 3 8
Direct
0.0000 0.0000 0.0000
0.0000 0.0000 0.2506
0.0000 0.0000 0.5000
0.0000 0.0000 0.7494
0.5000 0.5000 0.0677
0.5000 0.5000 0.1817
0.5000 0.5000 0.3182
0.5000 0.5000 0.4318
0.5000 0.5000 0.5682
0.5000 0.5000 0.6818
0.5000 0.5000 0.8183
0.5000 0.5000 0.9323
```

=====

(3)
Theoretical X-ray diffraction stick pattern
Compound: Ba3Zr6BeCl18
Radiation: Cu Kα, 1.54184 Å
Structure: a structure optimized by DFT (PBE)
Lines closer than 0.1° are merged.

Main lines, low angle first (10 to 80 degrees two-theta):
| 2theta | d [Å] | I (rel.) |
| --- | --- | --- |
| 10.88 | 8.132 | 95 |
| 16.84 | 5.265 | 84 |
| 25.53 | 3.489 | 82 |
| 30.77 | 2.906 | 83 |
| 35.35 | 2.539 | 100 |
| 48.89 | 1.863 | 68 |

Structure:
```
Ba3Zr6BeCl18
1.0
4.9281 2.8452 17.8381
-4.9281 2.8452 17.8381
0.0000 -5.6905 17.8381
Ba Zr Be Cl
6 12 2 36
Direct
0.1114 0.1114 0.1114
0.2500 0.2500 0.2500
0.3886 0.3886 0.3886
0.6114 0.6114 0.6114
0.7500 0.7500 0.7500
0.8886 0.8886 0.8886
0.0084 0.2286 0.8382
0.1618 0.9916 0.7714
0.2286 0.8382 0.0084
0.2714 0.4916 0.6618
0.3382 0.7286 0.5084
0.4916 0.6618 0.2714
0.5084 0.3382 0.7286
0.6618 0.2714 0.4916
0.7286 0.5084 0.3382
0.7714 0.1618 0.9916
0.8382 0.0084 0.2286
0.9916 0.7714 0.1618
0.0000 0.0000 0.0000
0.5000 0.5000 0.5000
0.0059 0.4721 0.8642
0.0279 0.4941 0.6358
0.0748 0.7357 0.6926
0.0746 0.8415 0.2544
0.1358 0.9941 0.5279
0.1585 0.7456 0.9254
0.1926 0.2357 0.5748
0.2357 0.5748 0.1926
0.2456 0.6585 0.4254
0.2544 0.0746 0.8415
0.2643 0.3074 0.9252
0.3074 0.9252 0.2643
0.3415 0.5746 0.7544
0.3642 0.9721 0.5059
0.4254 0.2456 0.6585
0.4252 0.8074 0.7643
0.4721 0.8642 0.0059
0.4941 0.6358 0.0279
0.5059 0.3642 0.9721
0.5279 0.1358 0.9941
0.5748 0.1926 0.2357
0.5746 0.7544 0.3415
0.6358 0.0279 0.4941
0.6585 0.4254 0.2456
0.6926 0.0748 0.7357
0.7357 0.6926 0.0748
0.7456 0.9254 0.1585
0.7544 0.3415 0.5746
0.7643 0.4252 0.8074
0.8074 0.7643 0.4252
0.8415 0.2544 0.0746
0.8642 0.0059 0.4721
0.9254 0.1585 0.7456
0.9252 0.2643 0.3074
0.9721 0.5059 0.3642
0.9941 0.5279 0.1358
```

=====

(4)
Theoretical X-ray diffraction stick pattern
Compound: CaMg14Ga
Radiation: Cu Kα, 1.54184 Å
Structure: a structure optimized by DFT (PBE)
Lines closer than 0.1° are merged.

Main lines, low angle first (10 to 80 degrees two-theta):
| 2theta | d [Å] | I (rel.) |
| --- | --- | --- |
| 32.19 | 2.780 | 25 |
| 34.24 | 2.619 | 26 |
| 36.59 | 2.456 | 100 |
| 57.40 | 1.605 | 17 |
| 62.84 | 1.479 | 20 |
| 68.56 | 1.369 | 19 |

Structure:
```
CaMg14Ga
1.0
6.4212 0.0000 0.0000
-3.2106 5.5609 0.0000
0.0000 0.0000 10.4765
Ca Mg Ga
1 14 1
Direct
0.0000 0.0000 0.0000
0.0061 0.5030 0.0000
0.1667 0.3334 0.2571
0.1667 0.3334 0.7429
0.1667 0.8333 0.2571
0.1667 0.8333 0.7429
0.4970 0.5030 0.0000
0.4970 0.9939 0.0000
0.5012 0.0024 0.5000
0.5012 0.4988 0.5000
0.6667 0.3333 0.2461
0.6667 0.3333 0.7539
0.6666 0.8333 0.2571
0.6666 0.8333 0.7429
0.9976 0.4988 0.5000
0.0000 0.0000 0.5000
```

=====

(5)
Theoretical X-ray diffraction stick pattern
Compound: La3SbI3
Radiation: Cu Kα, 1.54184 Å
Structure: a structure optimized by DFT (PBE)
Lines closer than 0.1° are merged.

Main lines, low angle first (10 to 80 degrees two-theta):
| 2theta | d [Å] | I (rel.) |
| --- | --- | --- |
| 27.52 | 3.241 | 100 |
| 39.31 | 2.292 | 75 |
| 48.65 | 1.871 | 26 |
| 56.80 | 1.621 | 12 |
| 64.25 | 1.450 | 32 |
| 71.26 | 1.323 | 23 |

Structure:
```
La3SbI3
1.0
-6.4830 6.4830 6.4830
6.4830 -6.4830 6.4830
6.4830 6.4830 -6.4830
La Sb I
12 4 12
Direct
0.0095 0.0190 0.2595
0.0095 0.4905 0.7500
0.0190 0.2595 0.0095
0.2405 0.2595 0.7500
0.2405 0.4810 0.4905
0.2595 0.0095 0.0190
0.2595 0.7500 0.2405
0.4810 0.4905 0.2405
0.4905 0.2405 0.4810
0.4905 0.7500 0.0095
0.7500 0.0095 0.4905
0.7500 0.2405 0.2595
0.0000 0.2500 0.5000
0.2500 0.2500 0.2500
0.2500 0.5000 0.0000
0.5000 0.0000 0.2500
0.2500 0.7565 0.7435
0.2500 0.9935 0.5065
0.5065 0.2500 0.9935
0.5065 0.7565 0.5130
0.5130 0.5065 0.7565
0.7435 0.2500 0.7565
0.7435 0.9935 0.9870
0.7565 0.5130 0.5065
0.7565 0.7435 0.2500
0.9870 0.7435 0.9935
0.9935 0.5065 0.2500
0.9935 0.9870 0.7435
```

=====

(6)
Theoretical X-ray diffraction stick pattern
Compound: BaHo4Si5O17
Radiation: Cu Kα, 1.54184 Å
Structure: a structure optimized by DFT (PBE)
Lines closer than 0.1° are merged.

Main lines, low angle first (10 to 80 degrees two-theta):
| 2theta | d [Å] | I (rel.) |
| --- | --- | --- |
| 16.05 | 5.523 | 37 |
| 25.84 | 3.448 | 29 |
| 27.67 | 3.224 | 23 |
| 27.93 | 3.195 | 100 |
| 28.75 | 3.105 | 31 |
| 30.10 | 2.969 | 23 |

Structure:
```
BaHo4Si5O17
1.0
5.5705 0.0000 0.0000
0.0000 19.9437 0.0000
-1.9844 0.0000 6.6327
Ba Ho Si O
2 8 10 34
Direct
0.2436 0.2500 0.3127
0.7564 0.7500 0.6873
0.3014 0.0389 0.6170
0.3014 0.4611 0.6170
0.3520 0.6583 0.0186
0.3520 0.8417 0.0186
0.6480 0.1583 0.9814
0.6480 0.3417 0.9814
0.6986 0.5389 0.3830
0.6986 0.9611 0.3830
0.0646 0.2500 0.7820
0.1974 0.0608 0.0952
0.1974 0.4392 0.0952
0.2294 0.6357 0.4928
0.2294 0.8643 0.4928
0.7706 0.1357 0.5072
0.7706 0.3643 0.5072
0.8026 0.5608 0.9048
0.8026 0.9392 0.9048
0.9354 0.7500 0.2180
0.0000 0.0000 0.0000
0.0000 0.5000 0.0000
0.0186 0.1836 0.6307
0.0186 0.3164 0.6307
0.0414 0.1282 0.1149
0.0414 0.3718 0.1149
0.1025 0.5631 0.5182
0.1025 0.9369 0.5182
0.1343 0.7500 0.0839
0.3587 0.2500 0.9186
0.3615 0.6735 0.7048
0.3615 0.8265 0.7048
0.3703 0.0734 0.9399
0.3703 0.4266 0.9399
0.3747 0.0336 0.3137
0.3747 0.4664 0.3137
0.4224 0.6299 0.3523
0.4224 0.8701 0.3523
0.5776 0.1299 0.6477
0.5776 0.3701 0.6477
0.6253 0.5336 0.6863
0.6253 0.9664 0.6863
0.6297 0.5734 0.0601
0.6297 0.9266 0.0601
0.6385 0.1735 0.2952
0.6385 0.3265 0.2952
0.6413 0.7500 0.0814
0.8657 0.2500 0.9161
0.8975 0.0631 0.4818
0.8975 0.4369 0.4818
0.9586 0.6282 0.8851
0.9586 0.8718 0.8851
0.9814 0.6836 0.3693
0.9814 0.8164 0.3693
```

=====

(7)
Theoretical X-ray diffraction stick pattern
Compound: PrInAu2
Radiation: Cu Kα, 1.54184 Å
Structure: a structure optimized by DFT (PBE)
Lines closer than 0.1° are merged.

Main lines, low angle first (10 to 80 degrees two-theta):
| 2theta | d [Å] | I (rel.) |
| --- | --- | --- |
| 24.76 | 3.596 | 5 |
| 35.30 | 2.543 | 100 |
| 50.77 | 1.798 | 18 |
| 57.28 | 1.608 | 2 |
| 63.35 | 1.468 | 37 |
| 74.65 | 1.271 | 11 |

Structure:
```
PrInAu2
1.0
7.1925 0.0000 0.0000
0.0000 7.1925 0.0000
0.0000 0.0000 7.1925
Pr In Au
4 4 8
Direct
0.0000 0.0000 0.0000
0.0000 0.5000 0.5000
0.5000 0.0000 0.5000
0.5000 0.5000 0.0000
0.0000 0.0000 0.5000
0.0000 0.5000 0.0000
0.5000 0.0000 0.0000
0.5000 0.5000 0.5000
0.2500 0.2500 0.2500
0.2500 0.2500 0.7500
0.2500 0.7500 0.2500
0.2500 0.7500 0.7500
0.7500 0.2500 0.2500
0.7500 0.2500 0.7500
0.7500 0.7500 0.2500
0.7500 0.7500 0.7500
```

=====

(8)
Theoretical X-ray diffraction stick pattern
Compound: CaLaO3
Radiation: Cu Kα, 1.54184 Å
Structure: a structure optimized by DFT (PBE)
Lines closer than 0.1° are merged.

Main lines, low angle first (10 to 80 degrees two-theta):
| 2theta | d [Å] | I (rel.) |
| --- | --- | --- |
| 19.71 | 4.505 | 56 |
| 28.01 | 3.185 | 100 |
| 40.03 | 2.252 | 37 |
| 45.00 | 2.015 | 26 |
| 49.57 | 1.839 | 41 |
| 57.90 | 1.593 | 23 |

Structure:
```
CaLaO3
1.0
4.5047 0.0000 0.0000
0.0000 4.5047 0.0000
0.0000 0.0000 4.5047
Ca La O
1 1 3
Direct
0.0000 0.0000 0.0000
0.5000 0.5000 0.5000
0.0000 0.5000 0.5000
0.5000 0.0000 0.5000
0.5000 0.5000 0.0000
```